[1]
Theoretical XRD peak list of Tl4PdPt for CuKα, from a structure optimized by DFT (PBE).
Intensities are scaled so that the largest is 100.

Most intense lines, 15 to 90 degrees two-theta, low angle first:
d = 2.737 Å, 32.7 deg, I = 100; d = 2.474 Å, 36.3 deg, I = 27; d = 2.211 Å, 40.8 deg, I = 32; d = 2.204 Å, 40.9 deg, I = 37; d = 1.627 Å, 56.6 deg, I = 22; d = 1.621 Å, 56.8 deg, I = 18; d = 1.488 Å, 62.4 deg, I = 13; d = 1.425 Å, 65.5 deg, I = 22; d = 1.262 Å, 75.3 deg, I = 11; d = 1.200 Å, 80.0 deg, I = 11

Crystal structure
a b c (Å): 6.969 6.969 5.722
angles (deg): 90.00 90.00 90.00
Fractional positions:
Tl1 0.162 0.338 0.250
Tl2 0.162 0.662 0.750
Tl3 0.338 0.162 0.750
Tl4 0.338 0.838 0.250
Tl5 0.662 0.162 0.250
Tl6 0.662 0.838 0.750
Tl7 0.838 0.338 0.750
Tl8 0.838 0.662 0.250
Pd1 0.000 0.000 0.500
Pd2 0.500 0.500 0.000
Pt1 0.000 0.000 0.000
Pt2 0.500 0.500 0.500

[2]
Theoretical XRD peak list of SiGeBiSb2 for CuKα, from a structure optimized by DFT (PBE).
Intensities are scaled so that the largest is 100.

Most intense lines, 15 to 90 degrees two-theta, low angle first:
d = 3.554 Å, 25.1 deg, I = 61; d = 2.984 Å, 29.9 deg, I = 100; d = 2.745 Å, 32.6 deg, I = 76; d = 2.332 Å, 38.6 deg, I = 24; d = 2.172 Å, 41.6 deg, I = 33; d = 1.941 Å, 46.8 deg, I = 28; d = 1.777 Å, 51.4 deg, I = 42; d = 1.627 Å, 56.6 deg, I = 33; d = 1.492 Å, 62.2 deg, I = 24; d = 1.228 Å, 77.8 deg, I = 12

Crystal structure
a b c (Å): 5.490 5.490 4.664
angles (deg): 90.00 90.00 90.00
Fractional positions:
Si1 0.000 0.000 0.000
Ge1 0.000 0.000 0.500
Bi1 0.500 0.500 0.000
Sb1 0.000 0.500 0.500
Sb2 0.500 0.000 0.500

[3]
Theoretical XRD peak list of B3WCl for CuKα, from a structure optimized by DFT (PBE).
Intensities are scaled so that the largest is 100.

Most intense lines, 15 to 90 degrees two-theta, low angle first:
d = 4.342 Å, 20.5 deg, I = 62; d = 3.071 Å, 29.1 deg, I = 100; d = 2.507 Å, 35.8 deg, I = 13; d = 2.171 Å, 41.6 deg, I = 25; d = 1.942 Å, 46.8 deg, I = 30; d = 1.773 Å, 51.6 deg, I = 41; d = 1.535 Å, 60.3 deg, I = 16; d = 1.447 Å, 64.4 deg, I = 15; d = 1.373 Å, 68.3 deg, I = 17; d = 1.161 Å, 83.3 deg, I = 21

Crystal structure
a b c (Å): 4.342 4.342 4.342
angles (deg): 90.00 90.00 90.00
Fractional positions:
B1 0.000 0.000 0.500
B2 0.000 0.500 0.000
B3 0.500 0.000 0.000
W1 0.000 0.000 0.000
Cl1 0.500 0.500 0.500

[4]
Theoretical XRD peak list of LiCe3I8 for CuKα, from a structure optimized by DFT (PBE).
Intensities are scaled so that the largest is 100.

Most intense lines, 15 to 90 degrees two-theta, low angle first:
d = 3.912 Å, 22.7 deg, I = 13; d = 3.777 Å, 23.6 deg, I = 18; d = 3.634 Å, 24.5 deg, I = 23; d = 3.214 Å, 27.8 deg, I = 100; d = 3.190 Å, 28.0 deg, I = 49; d = 2.340 Å, 38.5 deg, I = 20; d = 2.323 Å, 38.8 deg, I = 40; d = 2.210 Å, 40.8 deg, I = 52; d = 1.817 Å, 50.2 deg, I = 19; d = 1.406 Å, 66.5 deg, I = 16

Crystal structure
a b c (Å): 8.838 8.838 9.387
angles (deg): 118.57 118.57 60.03
Fractional positions:
Li1 0.000 0.000 0.000
Ce1 0.000 0.500 0.000
Ce2 0.500 0.000 0.000
Ce3 0.500 0.500 0.000
I1 0.239 0.239 0.235
I2 0.239 0.761 0.235
I3 0.239 0.761 0.765
I4 0.247 0.247 0.745
I5 0.753 0.753 0.255
I6 0.761 0.239 0.235
I7 0.761 0.239 0.765
I8 0.761 0.761 0.765